Mg2Si3: simulated X-ray powder pattern (Cu Kα (weighted mean of Kα1 and Kα2)), based on a crystal structure in the Materials Project, relaxed with PBE.

Peak list (10 most intense, 2θ = 10–90°, sorted by position)
2theta  I (rel.)  (hkl)
32.81  443  1 1 2
34.22  1000  1 0 -5
35.24  347  1 1 -4
35.92  357  0 2 -4
36.42  616  1 0 5
38.08  680  -1 2 2
38.26  599  1 0 -6
40.71  359  0 1 7
41.81  353  0 0 8
48.94  437  0 3 2

Structure:
abc: 3.784 5.889 17.369
angles: 93.78 92.92 97.96
Atoms (fractional coordinates):
Mg 0.000 0.000 0.000
Mg 0.032 0.227 0.846
Mg 0.283 0.356 0.290
Mg 0.389 0.591 0.510
Mg 0.424 0.870 0.358
Mg 0.612 0.312 0.114
Mg 0.907 0.668 0.781
Mg 0.956 0.904 0.625
Si 0.010 0.164 0.436
Si 0.128 0.502 0.009
Si 0.228 0.951 0.205
Si 0.308 0.350 0.706
Si 0.469 0.910 0.883
Si 0.470 0.982 0.745
Si 0.491 0.814 0.090
Si 0.522 0.098 0.520
Si 0.615 0.537 0.922
Si 0.695 0.697 0.215
Si 0.792 0.401 0.621
Si 0.874 0.531 0.394

***

Mg3Si4: simulated X-ray powder pattern (Cu Kα (weighted mean of Kα1 and Kα2)), based on a crystal structure in the Materials Project, relaxed with PBE.

Peak list (10 most intense, 2θ = 10–90°, sorted by position)
2theta  I (rel.)  (hkl)
33.22  447  1 2 -2
34.44  1000  1 -1 2
35.34  548  1 1 -3
35.50  270  0 3 0
38.65  453  0 2 2
39.39  574  1 -3 0
41.60  392  1 3 -1
43.96  553  2 0 -1
46.70  220  1 0 -4
48.28  206  0 3 -4

Structure:
abc: 4.127 8.110 8.456
angles: 109.09 102.84 93.38
Atoms (fractional coordinates):
Mg 0.000 0.000 0.000
Mg 0.085 0.403 0.136
Mg 0.418 0.887 0.670
Mg 0.512 0.578 0.968
Mg 0.712 0.605 0.410
Mg 0.844 0.293 0.711
Si 0.101 0.763 0.255
Si 0.202 0.224 0.416
Si 0.309 0.525 0.615
Si 0.478 0.214 0.931
Si 0.561 0.914 0.196
Si 0.633 0.237 0.246
Si 0.886 0.976 0.481
Si 0.902 0.654 0.765

***

Mg4Si3: simulated X-ray powder pattern (Cu Kα (weighted mean of Kα1 and Kα2)), based on a crystal structure in the Materials Project, relaxed with PBE.

Peak list (10 most intense, 2θ = 10–90°, sorted by position)
2theta  I (rel.)  (hkl)
34.51  544  2 2 2
34.83  691  -2 1 1
35.77  663  2 0 3
36.52  565  1 2 4
36.62  510  0 2 4
37.38  656  2 2 -2
37.86  821  -1 2 3
38.17  1000  1 3 0
39.07  809  1 0 5
39.69  620  0 3 0

Structure:
abc: 6.596 7.161 12.480
angles: 82.20 87.84 73.66
Atoms (fractional coordinates):
Mg 0.000 0.000 0.000
Mg 0.012 0.991 0.469
Mg 0.084 0.267 0.807
Mg 0.231 0.923 0.229
Mg 0.320 0.587 0.917
Mg 0.371 0.874 0.706
Mg 0.405 0.459 0.210
Mg 0.464 0.989 0.923
Mg 0.494 0.368 0.705
Mg 0.522 0.855 0.476
Mg 0.589 0.353 0.444
Mg 0.719 0.016 0.279
Mg 0.814 0.609 0.919
Mg 0.838 0.983 0.755
Mg 0.924 0.344 0.220
Mg 0.978 0.557 0.419
Si 0.069 0.638 0.092
Si 0.098 0.634 0.723
Si 0.193 0.266 0.047
Si 0.259 0.223 0.559
Si 0.264 0.621 0.544
Si 0.290 0.203 0.362
Si 0.575 0.188 0.078
Si 0.624 0.667 0.290
Si 0.687 0.285 0.898
Si 0.692 0.795 0.106
Si 0.771 0.629 0.644
Si 0.890 0.284 0.603

***

Mg5Si6: simulated X-ray powder pattern (Cu Kα (weighted mean of Kα1 and Kα2)), based on a crystal structure in the Materials Project, relaxed with PBE.

Peak list (10 most intense, 2θ = 10–90°, sorted by position)
2theta  I (rel.)  (hkl)
34.41  644  2 1 0
35.11  869  1 1 -4
35.84  969  1 1 4
36.92  449  2 1 2
37.74  365  0 1 5
38.62  993  2 1 -3
39.67  427  3 0 0
41.85  330  2 1 -4
44.72  1000  0 2 0
46.16  247  3 0 -4

Structure:
abc: 6.812 4.053 14.746
angles: 90.00 92.24 90.00
Atoms (fractional coordinates):
Mg 0.000 0.000 0.000
Mg 0.001 0.000 0.544
Mg 0.004 0.000 0.245
Mg 0.178 0.500 0.690
Mg 0.356 0.000 0.834
Mg 0.365 0.000 0.384
Mg 0.380 0.000 0.140
Mg 0.483 0.000 0.612
Mg 0.699 0.500 0.165
Mg 0.876 0.000 0.767
Si 0.041 0.500 0.383
Si 0.083 0.500 0.872
Si 0.088 0.500 0.124
Si 0.281 0.500 0.509
Si 0.316 0.500 0.258
Si 0.327 0.500 0.997
Si 0.572 0.500 0.752
Si 0.593 0.000 0.989
Si 0.633 0.500 0.472
Si 0.732 0.500 0.906
Si 0.769 0.000 0.389
Si 0.786 0.500 0.627

***

Mg4Si3: simulated X-ray powder pattern (Cu Kα (weighted mean of Kα1 and Kα2)), based on a crystal structure in the Materials Project, relaxed with PBE.

Peak list (10 most intense, 2θ = 10–90°, sorted by position)
2theta  I (rel.)  (hkl)
35.67  275  1 -1 4
35.83  1000  2 1 0
35.97  578  -1 1 4
37.39  694  1 -3 0
37.70  503  1 0 4
37.83  457  0 1 4
38.67  619  3 -2 0
38.88  669  1 -2 4
39.06  640  2 0 -4
39.48  309  -1 3 1

Structure:
abc: 7.250 7.317 11.258
angles: 97.29 96.06 114.52
Atoms (fractional coordinates):
Mg 0.000 0.000 0.000
Mg 0.022 0.033 0.489
Mg 0.176 0.691 0.057
Mg 0.204 0.834 0.820
Mg 0.245 0.812 0.329
Mg 0.325 0.492 0.684
Mg 0.373 0.410 0.987
Mg 0.451 0.289 0.469
Mg 0.480 0.164 0.169
Mg 0.569 0.781 0.481
Mg 0.633 0.935 0.747
Mg 0.673 0.827 0.213
Mg 0.756 0.574 0.851
Mg 0.815 0.564 0.372
Mg 0.853 0.337 0.634
Mg 0.928 0.287 0.175
Si 0.055 0.107 0.737
Si 0.125 0.075 0.255
Si 0.130 0.433 0.438
Si 0.234 0.784 0.578
Si 0.346 0.468 0.272
Si 0.424 0.178 0.717
Si 0.561 0.877 0.980
Si 0.624 0.217 0.944
Si 0.733 0.156 0.382
Si 0.790 0.545 0.115
Si 0.835 0.715 0.636
Si 0.975 0.327 0.886

***

Mg3Si4: simulated X-ray powder pattern (Cu Kα (weighted mean of Kα1 and Kα2)), based on a crystal structure in the Materials Project, relaxed with PBE.

Peak list (10 most intense, 2θ = 10–90°, sorted by position)
2theta  I (rel.)  (hkl)
30.68  462  2 1 0
32.25  685  2 1 1
35.29  529  2 0 1
36.40  1000  1 1 -2
36.90  470  -1 2 2
37.27  505  2 2 0
37.84  883  1 -2 0
38.84  556  0 2 3
40.43  552  0 0 3
45.14  529  1 0 3

Structure:
abc: 5.973 6.742 7.405
angles: 65.48 89.54 75.54
Atoms (fractional coordinates):
Mg 0.000 0.000 0.000
Mg 0.058 0.550 0.957
Mg 0.222 0.671 0.552
Mg 0.395 0.213 0.495
Mg 0.623 0.346 0.075
Mg 0.846 0.564 0.328
Si 0.038 0.153 0.302
Si 0.359 0.643 0.199
Si 0.364 0.227 0.855
Si 0.433 0.968 0.255
Si 0.590 0.828 0.929
Si 0.658 0.750 0.631
Si 0.704 0.348 0.703
Si 0.899 0.000 0.626

***

Mg5Si6: simulated X-ray powder pattern (Cu Kα (weighted mean of Kα1 and Kα2)), based on a crystal structure in the Materials Project, relaxed with PBE.

Peak list (10 most intense, 2θ = 10–90°, sorted by position)
2theta  I (rel.)  (hkl)
32.71  863  1 1 3
35.07  711  1 0 -6
35.75  810  2 1 -2
36.46  693  1 1 4
37.04  498  0 1 5
37.97  577  1 1 -5
38.11  834  2 1 2
40.68  828  3 0 1
47.07  497  0 1 7
47.26  1000  0 2 0

Structure:
abc: 6.927 3.847 15.792
angles: 90.00 98.00 90.00
Atoms (fractional coordinates):
Mg 0.000 0.000 0.000
Mg 0.041 0.500 0.179
Mg 0.103 0.500 0.851
Mg 0.185 0.500 0.528
Mg 0.238 0.000 0.702
Mg 0.285 0.000 0.341
Mg 0.434 0.000 0.928
Mg 0.612 0.500 0.440
Mg 0.675 0.000 0.286
Mg 0.762 0.000 0.778
Si 0.292 0.500 0.051
Si 0.347 0.000 0.153
Si 0.464 0.500 0.800
Si 0.484 0.000 0.560
Si 0.548 0.500 0.657
Si 0.651 0.500 0.044
Si 0.739 0.000 0.128
Si 0.749 0.500 0.906
Si 0.844 0.000 0.574
Si 0.926 0.500 0.668
Si 0.936 0.000 0.435
Si 0.981 0.500 0.347

***

Mg3Si4: simulated X-ray powder pattern (Cu Kα (weighted mean of Kα1 and Kα2)), based on a crystal structure in the Materials Project, relaxed with PBE.

Peak list (10 most intense, 2θ = 10–90°, sorted by position)
2theta  I (rel.)  (hkl)
35.19  1000  -1 1 2
35.41  559  2 -1 0
35.70  522  1 2 -2
35.88  794  0 2 -3
36.53  659  0 2 1
37.42  427  2 0 0
38.07  559  2 -1 1
38.20  494  1 -3 2
38.73  685  1 2 0
41.35  516  1 -1 3

Structure:
abc: 5.085 7.505 7.785
angles: 116.71 92.88 105.40
Atoms (fractional coordinates):
Mg 0.000 0.000 0.000
Mg 0.050 0.463 0.920
Mg 0.152 0.308 0.479
Mg 0.384 0.782 0.471
Mg 0.525 0.036 0.253
Mg 0.788 0.597 0.604
Si 0.371 0.740 0.812
Si 0.410 0.406 0.184
Si 0.544 0.124 0.922
Si 0.551 0.208 0.657
Si 0.613 0.617 0.001
Si 0.907 0.407 0.232
Si 0.980 0.037 0.632
Si 0.981 0.867 0.281

***

Mg5Si6: simulated X-ray powder pattern (Cu Kα (weighted mean of Kα1 and Kα2)), based on a crystal structure in the Materials Project, relaxed with PBE.

Peak list (10 most intense, 2θ = 10–90°, sorted by position)
2theta  I (rel.)  (hkl)
34.92  312  2 1 0
35.31  682  1 0 -2
36.28  1000  1 4 1
36.74  469  0 5 1
37.05  564  2 1 -1
39.55  281  0 6 0
39.74  429  2 3 0
39.91  641  1 5 -1
40.63  610  1 3 -2
42.00  406  2 2 1

Structure:
abc: 5.263 13.672 5.509
angles: 90.00 96.26 90.00
Atoms (fractional coordinates):
Mg 0.019 0.000 0.209
Mg 0.154 0.398 0.329
Mg 0.177 0.620 0.279
Mg 0.300 0.199 0.509
Mg 0.464 0.858 0.044
Mg 0.536 0.358 0.956
Mg 0.700 0.699 0.491
Mg 0.823 0.120 0.721
Mg 0.846 0.898 0.671
Mg 0.981 0.500 0.791
Si 0.043 0.294 0.876
Si 0.158 0.700 0.803
Si 0.288 0.827 0.496
Si 0.304 0.008 0.725
Si 0.397 0.148 0.026
Si 0.469 0.523 0.642
Si 0.531 0.023 0.358
Si 0.603 0.648 0.974
Si 0.696 0.508 0.275
Si 0.712 0.327 0.504
Si 0.842 0.200 0.197
Si 0.957 0.794 0.124

***

Mg4Si7: simulated X-ray powder pattern (Cu Kα (weighted mean of Kα1 and Kα2)), based on a crystal structure in the Materials Project, relaxed with PBE.

Peak list (10 most intense, 2θ = 10–90°, sorted by position)
2theta  I (rel.)  (hkl)
24.97  737  1 -1 0
30.74  729  1 2 0
31.88  509  1 -2 0
32.83  530  1 -2 1
33.27  551  -1 1 3
34.61  515  1 0 4
38.52  676  -1 1 4
38.99  844  1 -2 3
43.15  406  0 1 6
44.83  1000  2 0 1

Structure:
abc: 4.061 8.141 12.758
angles: 83.14 85.03 87.41
Atoms (fractional coordinates):
Mg 0.000 0.000 0.000
Mg 0.017 0.324 0.789
Mg 0.080 0.955 0.699
Mg 0.374 0.236 0.398
Mg 0.435 0.215 0.154
Mg 0.884 0.987 0.304
Mg 0.909 0.651 0.184
Mg 0.969 0.466 0.002
Si 0.042 0.368 0.564
Si 0.145 0.649 0.802
Si 0.218 0.812 0.510
Si 0.329 0.682 0.351
Si 0.347 0.571 0.630
Si 0.416 0.877 0.185
Si 0.438 0.701 0.040
Si 0.503 0.256 0.946
Si 0.532 0.078 0.817
Si 0.567 0.205 0.626
Si 0.615 0.780 0.855
Si 0.691 0.979 0.519
Si 0.823 0.509 0.396
Si 0.904 0.325 0.257

***

Mg4Si3: simulated X-ray powder pattern (Cu Kα (weighted mean of Kα1 and Kα2)), based on a crystal structure in the Materials Project, relaxed with PBE.

Peak list (10 most intense, 2θ = 10–90°, sorted by position)
2theta  I (rel.)  (hkl)
26.00  661  0 2 1
32.18  523  -1 1 2
35.53  556  0 1 3
35.90  802  0 1 -3
37.95  1000  2 0 0
38.11  971  1 2 -2
38.21  731  1 -2 2
41.27  516  1 3 1
41.99  532  1 3 -1
42.93  883  -1 3 1

Structure:
abc: 4.748 7.534 8.008
angles: 89.00 88.00 87.81
Atoms (fractional coordinates):
Mg 0.000 0.000 0.000
Mg 0.018 0.357 0.183
Mg 0.328 0.924 0.635
Mg 0.376 0.576 0.860
Mg 0.420 0.643 0.243
Mg 0.442 0.318 0.487
Mg 0.846 0.885 0.377
Mg 0.894 0.349 0.764
Si 0.338 0.010 0.304
Si 0.392 0.205 0.832
Si 0.539 0.225 0.117
Si 0.831 0.744 0.701
Si 0.879 0.660 0.003
Si 0.927 0.531 0.472